No. 1
Simulated PXRD pattern of LiHo2Ir for Cu Kα, 1.54184 Å, from DFT lattice parameters and positions (GGA-PBE).

Largest 12 diffraction maxima, sorted by position, 2θ = 15–90°:
Position (°2θ)	intensity
22.25	30
25.74	8
36.72	100
43.36	16
52.91	18
58.09	7
59.75	3
66.14	36
70.72	5
78.11	11
82.43	5
89.56	17

Cell and atoms:
abc: 6.922 6.922 6.922
angles: 90.00 90.00 90.00
Element x y z (fractional)
Li (0.000, 0.000, 0.000)
Li (0.000, 0.500, 0.500)
Li (0.500, 0.000, 0.500)
Li (0.500, 0.500, 0.000)
Ho (0.250, 0.250, 0.250)
Ho (0.250, 0.250, 0.750)
Ho (0.250, 0.750, 0.250)
Ho (0.250, 0.750, 0.750)
Ho (0.750, 0.250, 0.250)
Ho (0.750, 0.250, 0.750)
Ho (0.750, 0.750, 0.250)
Ho (0.750, 0.750, 0.750)
Ir (0.000, 0.000, 0.500)
Ir (0.000, 0.500, 0.000)
Ir (0.500, 0.000, 0.000)
Ir (0.500, 0.500, 0.500)

No. 2
Simulated PXRD pattern of HoLuIr2 for Cu Kα, 1.54184 Å, from DFT lattice parameters and positions (GGA-PBE).

Largest 4 diffraction maxima, sorted by position, 2θ = 15–90°:
Position (°2θ)	intensity
37.57	100
54.18	18
67.80	36
80.19	11

Cell and atoms:
abc: 6.771 6.771 6.771
angles: 90.00 90.00 90.00
Element x y z (fractional)
Ho (0.000, 0.000, 0.000)
Ho (0.000, 0.500, 0.500)
Ho (0.500, 0.000, 0.500)
Ho (0.500, 0.500, 0.000)
Lu (0.000, 0.000, 0.500)
Lu (0.000, 0.500, 0.000)
Lu (0.500, 0.000, 0.000)
Lu (0.500, 0.500, 0.500)
Ir (0.250, 0.250, 0.250)
Ir (0.250, 0.250, 0.750)
Ir (0.250, 0.750, 0.250)
Ir (0.250, 0.750, 0.750)
Ir (0.750, 0.250, 0.250)
Ir (0.750, 0.250, 0.750)
Ir (0.750, 0.750, 0.250)
Ir (0.750, 0.750, 0.750)

No. 3
Simulated PXRD pattern of NaHoIrO4 for Cu Kα, 1.54184 Å, from DFT lattice parameters and positions (GGA-PBE).

Largest 12 diffraction maxima, sorted by position, 2θ = 15–90°:
Position (°2θ)	intensity
18.49	32
18.96	26
21.56	22
32.59	83
33.32	33
33.44	40
33.60	100
47.09	31
47.93	33
58.98	31
59.87	22
66.96	22

Cell and atoms:
abc: 3.246 9.363 9.363
angles: 118.33 90.00 90.00
Element x y z (fractional)
Na (0.000, 0.000, 0.000)
Na (0.500, 0.284, 0.984)
Na (0.500, 0.984, 0.284)
Ho (0.500, 0.300, 0.642)
Ho (0.500, 0.642, 0.300)
Ho (0.500, 0.686, 0.686)
Ir (0.000, 0.315, 0.315)
Ir (0.000, 0.656, 0.982)
Ir (0.000, 0.982, 0.656)
O (0.000, 0.200, 0.450)
O (0.000, 0.227, 0.766)
O (0.000, 0.450, 0.200)
O (0.000, 0.534, 0.727)
O (0.000, 0.727, 0.534)
O (0.000, 0.766, 0.227)
O (0.500, 0.184, 0.184)
O (0.500, 0.447, 0.447)
O (0.500, 0.529, 0.984)
O (0.500, 0.789, 0.969)
O (0.500, 0.969, 0.789)
O (0.500, 0.984, 0.529)

No. 4
Simulated PXRD pattern of Ho2NiIr for Cu Kα, 1.54184 Å, from DFT lattice parameters and positions (GGA-PBE).

Largest 12 diffraction maxima, sorted by position, 2θ = 15–90°:
Position (°2θ)	intensity
22.70	11
26.27	2
37.49	100
44.27	6
46.35	1
54.06	17
59.37	3
61.08	1
67.64	35
72.37	2
79.99	11
84.47	2

Cell and atoms:
abc: 6.785 6.785 6.785
angles: 90.00 90.00 90.00
Element x y z (fractional)
Ho (0.250, 0.250, 0.250)
Ho (0.250, 0.250, 0.750)
Ho (0.250, 0.750, 0.250)
Ho (0.250, 0.750, 0.750)
Ho (0.750, 0.250, 0.250)
Ho (0.750, 0.250, 0.750)
Ho (0.750, 0.750, 0.250)
Ho (0.750, 0.750, 0.750)
Ni (0.000, 0.000, 0.000)
Ni (0.000, 0.500, 0.500)
Ni (0.500, 0.000, 0.500)
Ni (0.500, 0.500, 0.000)
Ir (0.000, 0.000, 0.500)
Ir (0.000, 0.500, 0.000)
Ir (0.500, 0.000, 0.000)
Ir (0.500, 0.500, 0.500)